[1]
The following is a calculated XRD peak list of Ag2HBr4. It was derived from a cell relaxed with GGA-PBE, using Cu Ka.
No peak broadening, texture or thermal motion is included.

Peak list (12 most intense, 5 to 70 degrees two-theta, in order of rising 2θ)
2θ (°)  I (rel.)  (hkl)
11.9  55  0 0 1
12.4  100  1 0 0
16.5  41  1 1 1
24.5  28  1 2 1
25.8  61  1 0 2
26.8  54  1 2 0
32.2  57  -1 2 2
32.8  55  2 0 2
33.7  38  2 2 0
36.7  38  2 0 -2
41.3  34  0 2 -2
47.5  30  0 4 2

Crystal structure
```
data_Ag2HBr4
_chemical_formula_sum 'Ag4 H2 Br8'
_cell_length_a 7.2854
_cell_length_b 7.7966
_cell_length_c 8.1649
_cell_angle_alpha 66.46
_cell_angle_beta 80.79
_cell_angle_gamma 80.95
_space_group_name_H-M_alt 'P -1'
_space_group_IT_number 2
loop_
_space_group_symop_operation_xyz
'x,y,z'
'-x,-y,-z'
loop_
_atom_site_label
_atom_site_type_symbol
_atom_site_fract_x
_atom_site_fract_y
_atom_site_fract_z
_atom_site_occupancy
Ag1 Ag 0.0000 0.0000 0.0000 1
Ag2 Ag 0.0000 0.0000 0.5000 1
Ag3 Ag 0.0000 0.5000 0.0000 1
Ag4 Ag 0.5000 0.0000 0.0000 1
H1 H 0.2599 0.5688 0.3239 1
Br1 Br 0.1770 0.8095 0.7884 1
Br2 Br 0.2404 0.2731 0.8553 1
Br3 Br 0.2658 0.3880 0.3046 1
Br4 Br 0.2835 0.8626 0.3088 1
```

=====

[2]
The following is a calculated XRD peak list of Ag3HBr4. It was derived from a cell relaxed with GGA-PBE, using Cu Ka.
No peak broadening, texture or thermal motion is included.

Peak list (12 most intense, 5 to 70 degrees two-theta, in order of rising 2θ)
2θ (°)  I (rel.)  (hkl)
10.6  53  0 0 1
16.6  75  1 1 0
21.4  73  0 0 2
23.3  44  1 0 -2
24.1  39  0 2 0
25.9  100  2 1 0
26.4  65  0 2 1
32.4  58  2 1 -2
35.1  79  1 2 2
43.5  42  2 3 0
44.5  52  3 1 2
46.6  39  3 2 -2

Crystal structure
```
data_Ag3HBr4
_chemical_formula_sum 'Ag6 H2 Br8'
_cell_length_a 7.8134
_cell_length_b 7.3806
_cell_length_c 8.3530
_cell_angle_alpha 90.00
_cell_angle_beta 95.14
_cell_angle_gamma 90.00
_space_group_name_H-M_alt 'P 1 21 1'
_space_group_IT_number 4
loop_
_space_group_symop_operation_xyz
'x,y,z'
'-x,y+1/2,-z'
loop_
_atom_site_label
_atom_site_type_symbol
_atom_site_fract_x
_atom_site_fract_y
_atom_site_fract_z
_atom_site_occupancy
Ag1 Ag 0.1011 0.0000 0.4406 1
Ag2 Ag 0.2772 0.5421 0.4590 1
Ag3 Ag 0.3001 0.6708 0.9756 1
H1 H 0.3660 0.2522 0.7797 1
Br1 Br 0.1129 0.7258 0.2205 1
Br2 Br 0.1265 0.7476 0.6936 1
Br3 Br 0.3644 0.2814 0.9654 1
Br4 Br 0.3790 0.2145 0.5504 1
```

=====

[3]
The following is a calculated XRD peak list of AgH4Br3N. It was derived from a cell relaxed with GGA-PBE, using Cu Ka.
No peak broadening, texture or thermal motion is included.

Peak list (12 most intense, 5 to 70 degrees two-theta, in order of rising 2θ)
2θ (°)  I (rel.)  (hkl)
12.2  58  0 1 0
17.0  41  0 0 2
18.6  28  1 0 0
22.4  100  1 1 0
27.5  21  1 1 -2
28.9  16  1 1 2
30.9  33  1 -2 0
34.5  29  0 0 4
39.7  16  2 -1 0
40.5  16  1 1 -4
42.5  15  1 1 4
45.7  15  2 2 0

Crystal structure
```
data_AgH4Br3N
_chemical_formula_sum 'Ag2 H8 Br6 N2'
_cell_length_a 4.7818
_cell_length_b 7.2418
_cell_length_c 10.4253
_cell_angle_alpha 90.27
_cell_angle_beta 93.26
_cell_angle_gamma 90.36
_space_group_name_H-M_alt 'P 1'
_space_group_IT_number 1
loop_
_space_group_symop_operation_xyz
'x,y,z'
loop_
_atom_site_label
_atom_site_type_symbol
_atom_site_fract_x
_atom_site_fract_y
_atom_site_fract_z
_atom_site_occupancy
Ag1 Ag 0.0000 0.0000 0.0000 1
Ag2 Ag 0.0081 0.0009 0.5017 1
H1 H 0.0268 0.3899 0.7090 1
H2 H 0.1631 0.5374 0.8258 1
H3 H 0.2686 0.5481 0.6733 1
H4 H 0.3596 0.3665 0.7704 1
H5 H 0.6578 0.5927 0.2432 1
H6 H 0.8397 0.3918 0.2506 1
H7 H 0.9635 0.5772 0.1712 1
H8 H 0.9635 0.5814 0.3331 1
Br1 Br 0.0493 0.9459 0.7517 1
Br2 Br 0.2873 0.7081 0.0346 1
Br3 Br 0.3194 0.7202 0.4758 1
Br4 Br 0.6977 0.2818 0.9628 1
Br5 Br 0.6988 0.2796 0.5304 1
Br6 Br 0.9491 0.0580 0.2500 1
N1 N 0.2043 0.4605 0.7450 1
N2 N 0.8541 0.5350 0.2498 1
```

=====

[4]
The following is a calculated XRD peak list of AgH4Br3N. It was derived from a cell relaxed with GGA-PBE, using Cu Ka.
No peak broadening, texture or thermal motion is included.

Peak list (12 most intense, 5 to 70 degrees two-theta, in order of rising 2θ)
2θ (°)  I (rel.)  (hkl)
16.3  100  1 0 0
16.5  46  0 0 1
28.5  37  1 1 1
32.9  83  2 0 0
33.3  35  0 0 2
37.0  54  2 1 0
37.3  33  1 0 2
47.3  28  2 2 0
47.5  50  2 0 2
50.4  17  3 0 0
50.6  28  2 1 2
59.0  25  2 2 2

Crystal structure
```
data_AgH4Br3N
_chemical_formula_sum 'Ag1 H4 Br3 N1'
_cell_length_a 5.4399
_cell_length_b 5.4399
_cell_length_c 5.3817
_cell_angle_alpha 90.00
_cell_angle_beta 90.00
_cell_angle_gamma 90.00
_space_group_name_H-M_alt 'P -4 m 2'
_space_group_IT_number 115
loop_
_space_group_symop_operation_xyz
'x,y,z'
'y,-x,-z'
'-x,-y,z'
'-y,x,-z'
'-x,y,z'
'-y,-x,-z'
'x,-y,z'
'y,x,-z'
loop_
_atom_site_label
_atom_site_type_symbol
_atom_site_fract_x
_atom_site_fract_y
_atom_site_fract_z
_atom_site_occupancy
Ag1 Ag 0.0000 0.0000 0.0000 1
H1 H 0.3448 0.5000 0.6119 1
Br1 Br 0.0000 0.0000 0.5000 1
Br2 Br 0.0000 0.5000 0.9573 1
N1 N 0.5000 0.5000 0.5000 1
```

=====

[5]
The following is a calculated XRD peak list of Ag2H2SBr2. It was derived from a cell relaxed with GGA-PBE, using Cu Ka.
No peak broadening, texture or thermal motion is included.

Peak list (12 most intense, 5 to 70 degrees two-theta, in order of rising 2θ)
2θ (°)  I (rel.)  (hkl)
15.4  25  0 1 1
18.2  32  0 0 2
26.4  23  1 0 1
31.2  75  0 2 2
33.4  61  1 1 2
36.7  100  1 2 1
36.8  20  0 0 4
37.2  64  1 0 3
45.9  21  1 3 0
47.5  27  0 3 3
59.8  40  1 2 5
60.7  21  2 2 2

Crystal structure
```
data_Ag2H2SBr2
_chemical_formula_sum 'Ag4 H4 S2 Br4'
_cell_length_a 3.6039
_cell_length_b 7.0974
_cell_length_c 9.7653
_cell_angle_alpha 90.00
_cell_angle_beta 90.00
_cell_angle_gamma 90.00
_space_group_name_H-M_alt 'I m m m'
_space_group_IT_number 71
_space_group_name_Hall '-I 2 2'
loop_
_atom_site_label
_atom_site_type_symbol
_atom_site_fract_x
_atom_site_fract_y
_atom_site_fract_z
_atom_site_occupancy
Ag1 Ag 0.0000 0.2145 0.0000 1
H1 H 0.0000 0.0000 0.3506 1
S1 S 0.0000 0.0000 0.5000 1
Br1 Br 0.0000 0.5000 0.3092 1
```

=====

[6]
The following is a calculated XRD peak list of HfAg3Br8. It was derived from a cell relaxed with GGA-PBE, using Cu Ka.
No peak broadening, texture or thermal motion is included.

Peak list (12 most intense, 5 to 70 degrees two-theta, in order of rising 2θ)
2θ (°)  I (rel.)  (hkl)
13.7  75  1 1 0
17.5  42  1 1 1
25.8  33  1 1 2
29.2  55  0 4 0
32.1  100  2 0 2
38.7  15  1 5 0
44.0  67  2 4 2
44.4  19  0 0 4
44.8  19  1 5 2
47.6  18  4 0 0
54.1  16  0 4 4
56.9  26  4 4 0

Crystal structure
```
data_HfAg3Br8
_chemical_formula_sum 'Hf2 Ag6 Br16'
_cell_length_a 7.6355
_cell_length_b 12.2250
_cell_length_c 8.1571
_cell_angle_alpha 90.00
_cell_angle_beta 90.00
_cell_angle_gamma 90.00
_space_group_name_H-M_alt 'C 2 2 2'
_space_group_IT_number 21
loop_
_space_group_symop_operation_xyz
'x,y,z'
'-x,-y,z'
'x,-y,-z'
'-x,y,-z'
'x+1/2,y+1/2,z'
'-x+1/2,-y+1/2,z'
'x+1/2,-y+1/2,-z'
'-x+1/2,y+1/2,-z'
loop_
_atom_site_label
_atom_site_type_symbol
_atom_site_fract_x
_atom_site_fract_y
_atom_site_fract_z
_atom_site_occupancy
Hf1 Hf 0.0000 0.0000 0.0000 1
Ag1 Ag 0.0000 0.0000 0.5000 1
Ag2 Ag 0.2500 0.2500 0.2632 1
Br1 Br 0.0000 0.2174 0.5000 1
Br2 Br 0.0000 0.2178 0.0000 1
Br3 Br 0.2482 0.0079 0.2213 1
```

=====

[7]
The following is a calculated XRD peak list of Ag2HgBr5. It was derived from a cell relaxed with GGA-PBE, using Cu Ka.
No peak broadening, texture or thermal motion is included.

Peak list (12 most intense, 5 to 70 degrees two-theta, in order of rising 2θ)
2θ (°)  I (rel.)  (hkl)
10.5  39  1 1 0
12.8  34  0 1 1
13.1  30  1 0 1
14.9  57  1 1 1
16.9  29  2 1 0
21.0  48  2 2 0
25.2  35  1 3 1
26.5  100  2 0 2
33.6  24  3 3 1
38.6  37  3 3 2
40.7  80  4 2 2
43.6  30  0 0 4

Crystal structure
```
data_Ag2HgBr5
_chemical_formula_sum 'Ag8 Hg4 Br20'
_cell_length_a 11.5616
_cell_length_b 12.4166
_cell_length_c 8.3124
_cell_angle_alpha 90.00
_cell_angle_beta 90.00
_cell_angle_gamma 90.00
_space_group_name_H-M_alt 'P n n m'
_space_group_IT_number 58
loop_
_space_group_symop_operation_xyz
'x,y,z'
'-x,-y,-z'
'-x,-y,z'
'x,y,-z'
'x+1/2,-y+1/2,-z+1/2'
'-x+1/2,y+1/2,z+1/2'
'-x+1/2,y+1/2,-z+1/2'
'x+1/2,-y+1/2,z+1/2'
loop_
_atom_site_label
_atom_site_type_symbol
_atom_site_fract_x
_atom_site_fract_y
_atom_site_fract_z
_atom_site_occupancy
Ag1 Ag 0.0000 0.0000 0.2462 1
Ag2 Ag 0.1379 0.3877 0.5000 1
Hg1 Hg 0.2336 0.2623 0.0000 1
Br1 Br 0.0972 0.6009 0.5000 1
Br2 Br 0.1233 0.2266 0.2702 1
Br3 Br 0.1364 0.9319 0.0000 1
Br4 Br 0.1446 0.9475 0.5000 1
```

=====

[8]
The following is a calculated XRD peak list of Ag4Hg2Br9. It was derived from a cell relaxed with GGA-PBE, using Cu Ka.
No peak broadening, texture or thermal motion is included.

Peak list (12 most intense, 5 to 70 degrees two-theta, in order of rising 2θ)
2θ (°)  I (rel.)  (hkl)
18.4  57  0 1 -3
22.1  57  1 0 -4
23.1  65  -1 1 4
23.5  92  1 1 -1
25.1  83  -1 2 1
25.4  55  2 -1 1
31.0  100  2 -1 4
41.5  83  0 3 0
42.4  83  3 0 0
42.9  66  1 -2 8
43.9  69  -2 1 8
44.3  56  3 -3 0

Crystal structure
```
data_Ag4Hg2Br9
_chemical_formula_sum 'Ag8 Hg4 Br18'
_cell_length_a 7.1524
_cell_length_b 7.3003
_cell_length_c 20.0846
_cell_angle_alpha 92.80
_cell_angle_beta 90.97
_cell_angle_gamma 116.38
_space_group_name_H-M_alt 'P -1'
_space_group_IT_number 2
loop_
_space_group_symop_operation_xyz
'x,y,z'
'-x,-y,-z'
loop_
_atom_site_label
_atom_site_type_symbol
_atom_site_fract_x
_atom_site_fract_y
_atom_site_fract_z
_atom_site_occupancy
Ag1 Ag 0.1137 0.4968 0.2666 1
Ag2 Ag 0.1666 0.1623 0.8392 1
Ag3 Ag 0.1684 0.8186 0.4971 1
Ag4 Ag 0.1985 0.5100 0.0575 1
Hg1 Hg 0.4658 0.5031 0.6084 1
Hg2 Hg 0.4800 0.1559 0.1670 1
Br1 Br 0.1304 0.8568 0.2450 1
Br2 Br 0.1388 0.1507 0.5768 1
Br3 Br 0.1563 0.4942 0.4109 1
Br4 Br 0.1699 0.4880 0.9170 1
Br5 Br 0.1836 0.1493 0.0857 1
Br6 Br 0.2183 0.8638 0.7574 1
Br7 Br 0.4560 0.1483 0.9192 1
Br8 Br 0.4867 0.8599 0.5815 1
Br9 Br 0.4948 0.5064 0.2518 1
```

=====

[9]
The following is a calculated XRD peak list of Ag2Hg2Br7. It was derived from a cell relaxed with GGA-PBE, using Cu Ka.
No peak broadening, texture or thermal motion is included.

Peak list (12 most intense, 5 to 70 degrees two-theta, in order of rising 2θ)
2θ (°)  I (rel.)  (hkl)
12.3  100  1 1 0
16.9  63  1 1 -1
17.9  96  0 2 1
24.9  74  1 3 -1
32.8  58  1 3 -2
34.1  29  2 2 -2
34.3  31  2 0 2
36.0  39  3 1 1
36.2  31  1 5 -1
39.2  32  0 6 0
47.3  40  2 2 3
48.8  29  3 5 1

Crystal structure
```
data_Ag2Hg2Br7
_chemical_formula_sum 'Ag4 Hg4 Br14'
_cell_length_a 8.4214
_cell_length_b 13.8019
_cell_length_c 7.1771
_cell_angle_alpha 90.00
_cell_angle_beta 94.78
_cell_angle_gamma 90.00
_space_group_name_H-M_alt 'C 1 2/m 1'
_space_group_IT_number 12
loop_
_space_group_symop_operation_xyz
'x,y,z'
'-x,-y,-z'
'-x,y,-z'
'x,-y,z'
'x+1/2,y+1/2,z'
'-x+1/2,-y+1/2,-z'
'-x+1/2,y+1/2,-z'
'x+1/2,-y+1/2,z'
loop_
_atom_site_label
_atom_site_type_symbol
_atom_site_fract_x
_atom_site_fract_y
_atom_site_fract_z
_atom_site_occupancy
Ag1 Ag 0.1968 0.0000 0.3895 1
Hg1 Hg 0.0000 0.1745 0.0000 1
Br1 Br 0.0000 0.5000 0.5000 1
Br2 Br 0.1092 0.0000 0.7579 1
Br3 Br 0.2315 0.1879 0.2435 1
```

=====

What did the second record say?
The following is a calculated XRD peak list of Ag3HBr4. It was derived from a cell relaxed with GGA-PBE, using Cu Ka.
No peak broadening, texture or thermal motion is included.

Peak list (12 most intense, 5 to 70 degrees two-theta, in order of rising 2θ)
2θ (°)  I (rel.)  (hkl)
10.6  53  0 0 1
16.6  75  1 1 0
21.4  73  0 0 2
23.3  44  1 0 -2
24.1  39  0 2 0
25.9  100  2 1 0
26.4  65  0 2 1
32.4  58  2 1 -2
35.1  79  1 2 2
43.5  42  2 3 0
44.5  52  3 1 2
46.6  39  3 2 -2

Crystal structure
```
data_Ag3HBr4
_chemical_formula_sum 'Ag6 H2 Br8'
_cell_length_a 7.8134
_cell_length_b 7.3806
_cell_length_c 8.3530
_cell_angle_alpha 90.00
_cell_angle_beta 95.14
_cell_angle_gamma 90.00
_space_group_name_H-M_alt 'P 1 21 1'
_space_group_IT_number 4
loop_
_space_group_symop_operation_xyz
'x,y,z'
'-x,y+1/2,-z'
loop_
_atom_site_label
_atom_site_type_symbol
_atom_site_fract_x
_atom_site_fract_y
_atom_site_fract_z
_atom_site_occupancy
Ag1 Ag 0.1011 0.0000 0.4406 1
Ag2 Ag 0.2772 0.5421 0.4590 1
Ag3 Ag 0.3001 0.6708 0.9756 1
H1 H 0.3660 0.2522 0.7797 1
Br1 Br 0.1129 0.7258 0.2205 1
Br2 Br 0.1265 0.7476 0.6936 1
Br3 Br 0.3644 0.2814 0.9654 1
Br4 Br 0.3790 0.2145 0.5504 1
```

=====

Question: Which formula does entry 6 have?
Answer: HfAg3Br8